[1]
Diffraction record for MnSi2N. The powder X-ray diffraction pattern is computed, not measured: it uses a PBE-relaxed structure and CuKα.

The 10 most intense peaks (2θ = 10–80°), sorted by position:
2theta	I/Imax
14.1	33
28.4	5
37.1	5
39.9	100
43.2	12
47.4	54
58.2	22
58.7	7
66.9	23
71.5	7

```
MnSi2N
1.0
2.7979 0.0000 0.0000
-1.3989 2.4230 0.0000
0.0000 0.0000 6.2876
Mn Si N
1 2 1
Cartesian
0.0000 0.0000 0.0000 Mn
0.0000 1.6154 4.3928 Si
1.3989 0.8077 1.6261 Si
1.3989 0.8077 3.4050 N
```

---

[2]
Diffraction record for SmTh2MnN5. The powder X-ray diffraction pattern is computed, not measured: it uses a PBE-relaxed structure and CuKα.

The 10 most intense peaks (2θ = 10–80°), sorted by position:
2theta	I/Imax
15.7	33
24.4	23
30.7	86
30.9	100
31.7	43
38.2	71
42.4	23
50.5	27
56.9	25
61.8	22

```
SmTh2MnN5
1.0
-3.3737 3.3737 5.6399
3.3737 -3.3737 5.6399
3.3737 3.3737 -5.6399
Sm Th Mn N
2 4 2 10
Cartesian
0.0000 0.0000 2.8199 Sm
0.0000 0.0000 8.4598 Sm
4.5557 1.1819 0.0000 Th
1.1819 2.1918 0.0000 Th
2.1918 1.1819 5.6399 Th
-1.1819 2.1918 5.6399 Th
3.3737 0.0000 2.8199 Mn
0.0000 3.3737 2.8199 Mn
0.0000 0.0000 0.0000 N
4.3377 -0.9640 1.6303 N
2.4098 -0.9640 4.0096 N
2.4098 0.9640 1.6303 N
4.3377 0.9640 4.0096 N
0.0000 0.0000 5.6399 N
-0.9640 2.4098 1.6303 N
0.9640 2.4098 4.0096 N
0.9640 4.3377 1.6303 N
-0.9640 4.3377 4.0096 N
```

---

[3]
Diffraction record for Sm2MnWN5. The powder X-ray diffraction pattern is computed, not measured: it uses a PBE-relaxed structure and CuKα.

The 10 most intense peaks (2θ = 10–80°), sorted by position:
2theta	I/Imax
25.9	26
27.5	18
30.3	79
32.7	100
34.0	50
38.7	28
40.4	21
46.3	21
51.0	32
63.0	24

```
Sm2MnWN5
1.0
1.7057 -6.8705 0.0000
1.7057 6.8705 0.0000
0.0000 0.0000 9.7962
Sm Mn W N
4 2 2 10
Cartesian
1.7057 5.1308 4.8981 Sm
1.7057 5.0083 1.2787 Sm
1.7057 -5.0083 6.1768 Sm
1.7057 -5.1308 0.0000 Sm
1.7057 3.9294 8.3012 Mn
1.7057 -3.9294 3.4031 Mn
1.7057 0.9208 2.8126 W
1.7057 -0.9208 7.7107 W
1.7057 6.1655 8.6048 N
1.7057 2.7894 4.5922 N
1.7057 2.6514 2.0048 N
1.7057 2.0515 8.1515 N
1.7057 0.0467 1.1930 N
1.7057 -0.0467 6.0911 N
1.7057 -2.0515 3.2534 N
1.7057 -2.6514 6.9029 N
1.7057 -2.7894 9.4903 N
1.7057 -6.1655 3.7067 N
```

---

[4]
Diffraction record for Mn7SnN2. The powder X-ray diffraction pattern is computed, not measured: it uses a PBE-relaxed structure and CuKα.

The 10 most intense peaks (2θ = 10–80°), sorted by position:
2theta	I/Imax
26.0	6
32.8	7
34.2	5
35.3	6
40.7	100
46.2	19
47.9	38
68.7	21
69.3	4
70.0	11

```
Mn7SnN2
1.0
3.8007 0.0000 0.0000
0.0000 3.8007 0.0000
0.0000 0.0000 7.8551
Mn Sn N
7 1 2
Cartesian
0.0000 0.0000 0.0000 Mn
0.0000 0.0000 3.9276 Mn
0.0000 1.9004 1.7849 Mn
0.0000 1.9004 6.0702 Mn
1.9004 0.0000 1.7849 Mn
1.9004 0.0000 6.0702 Mn
1.9004 1.9004 0.0000 Mn
1.9004 1.9004 3.9276 Sn
0.0000 0.0000 1.9379 N
0.0000 0.0000 5.9172 N
```

---

[5]
Diffraction record for SrMn4N4. The powder X-ray diffraction pattern is computed, not measured: it uses a PBE-relaxed structure and CuKα.

The 10 most intense peaks (2θ = 10–80°), sorted by position:
2theta	I/Imax
28.1	23
34.1	41
38.2	53
42.0	100
51.3	22
63.7	8
66.4	40
68.4	12
71.7	13
78.7	6

```
SrMn4N4
1.0
0.0000 5.2654 5.2654
5.2654 0.0000 5.2654
5.2654 5.2654 0.0000
Sr Mn N
3 12 12
Cartesian
0.0000 0.0000 0.0000 Sr
2.6327 2.6327 2.6327 Sr
7.8981 7.8981 7.8981 Sr
6.5587 5.2654 2.8916 Mn
5.2654 2.8916 3.9722 Mn
7.6392 3.9722 5.2654 Mn
3.9722 5.2654 2.8916 Mn
7.6392 6.5587 5.2654 Mn
5.2654 2.8916 6.5587 Mn
5.2654 7.6392 3.9722 Mn
2.8916 3.9722 5.2654 Mn
6.5587 5.2654 7.6392 Mn
2.8916 6.5587 5.2654 Mn
5.2654 7.6392 6.5587 Mn
3.9722 5.2654 7.6392 Mn
5.2654 3.9471 2.4213 N
8.1096 5.2654 3.9471 N
6.5837 2.4213 5.2654 N
5.2654 6.5837 2.4213 N
3.9471 2.4213 5.2654 N
8.1096 5.2654 6.5837 N
2.4213 5.2654 3.9471 N
6.5837 8.1096 5.2654 N
5.2654 3.9471 8.1096 N
3.9471 8.1096 5.2654 N
2.4213 5.2654 6.5837 N
5.2654 6.5837 8.1096 N
```

---

[6]
Diffraction record for Sr5Mn2N6. The powder X-ray diffraction pattern is computed, not measured: it uses a PBE-relaxed structure and CuKα.

The 10 most intense peaks (2θ = 10–80°), sorted by position:
2theta	I/Imax
27.1	52
27.9	33
29.9	33
30.3	51
30.5	30
31.9	100
33.0	94
34.0	74
35.6	30
49.3	27

```
Sr5Mn2N6
1.0
5.1466 -3.2938 0.0000
5.1466 3.2938 0.0000
-2.7781 0.0000 13.1557
Sr Mn N
10 4 12
Cartesian
3.0630 2.5271 9.8668 Sr
4.4354 1.7244 0.0356 Sr
2.7427 0.5985 3.6912 Sr
4.4687 1.7244 6.5422 Sr
1.3537 -0.5985 10.2690 Sr
6.1614 0.5985 2.8867 Sr
3.0464 -1.7244 6.6135 Sr
4.7724 -0.5985 9.4646 Sr
3.0797 -1.7244 13.1201 Sr
4.4521 -2.5271 3.2889 Sr
1.2383 0.8823 7.5038 Mn
2.6273 -0.8823 0.9259 Mn
4.8878 0.8823 12.2298 Mn
6.2768 -0.8823 5.6519 Mn
-0.2184 0.3031 8.4257 N
1.0825 0.4599 5.7068 N
1.1707 -0.3031 1.8478 N
-0.3065 -0.4599 12.2847 N
2.7682 0.3352 8.2360 N
4.1572 -0.3352 1.6581 N
3.3579 0.3352 11.4976 N
4.7469 -0.3352 4.9197 N
7.8216 0.4599 0.8711 N
6.3444 0.3031 11.3080 N
6.4326 -0.4599 7.4490 N
7.7335 -0.3031 4.7301 N
```

---

[7]
Diffraction record for SrMn2N. The powder X-ray diffraction pattern is computed, not measured: it uses a PBE-relaxed structure and CuKα.

The 10 most intense peaks (2θ = 10–80°), sorted by position:
2theta	I/Imax
18.0	1
29.6	69
34.9	100
36.5	31
52.5	25
56.0	33
61.5	33
69.7	11
72.7	11
73.6	10

```
SrMn2N
1.0
0.0000 4.2660 4.2660
4.2660 0.0000 4.2660
4.2660 4.2660 0.0000
Sr Mn N
2 4 2
Cartesian
1.0665 1.0665 1.0665 Sr
7.4655 7.4655 7.4655 Sr
4.2660 2.1330 2.1330 Mn
2.1330 4.2660 2.1330 Mn
2.1330 2.1330 4.2660 Mn
4.2660 4.2660 4.2660 Mn
3.1995 3.1995 3.1995 N
5.3325 5.3325 5.3325 N
```